Record 1
Diffraction record for Fe4OF7. The powder diffractogram is theoretical, not measured: it uses a structure optimized by DFT (GGA+U) and Cu Kα (weighted mean of Kα1 and Kα2).

Main lines, in order of falling intensity (10 to 90 degrees two-theta):
hkl, d_spacing, intensity
1 2 2, 2.662, 100
0 0 4, 3.402, 92
2 0 0, 3.441, 88
3 2 2, 1.796, 58
1 2 6, 1.785, 58
3 2 6, 1.439, 41

Structure:
a b c (Å): 6.8824 6.3743 13.6092
angles (deg): 90.00 90.00 90.00
Space group Amm2 (No. 38)
Symmetry-distinct sites (fractional):
Fe: 0.0000 0.0000 0.0000 x2
Fe: 0.0000 0.0000 0.4958 x2
Fe: 0.0000 0.2270 0.7384 x4
Fe: 0.5000 0.0000 0.2492 x2
Fe: 0.5000 0.0000 0.7484 x2
Fe: 0.5000 0.2298 0.4893 x4
O: 0.0000 0.0000 0.6433 x2
O: 0.5000 0.0000 0.3963 x2
F: 0.0000 0.0000 0.1495 x2
F: 0.0000 0.0000 0.3398 x2
F: 0.0000 0.0000 0.8498 x2
F: 0.2071 0.2445 0.9951 x8
F: 0.2940 0.2461 0.7455 x8
F: 0.5000 0.0000 0.0912 x2
F: 0.5000 0.0000 0.5988 x2
F: 0.5000 0.0000 0.8987 x2



Record 2
Diffraction record for Fe5O8F2. The powder diffractogram is theoretical, not measured: it uses a structure optimized by DFT (GGA+U) and Cu Kα (weighted mean of Kα1 and Kα2).

Main lines, in order of falling intensity (10 to 90 degrees two-theta):
hkl, d_spacing, intensity
0 1 -3, 2.506, 100
1 1 2, 3.296, 97
-1 1 2, 3.201, 93
1 0 5, 1.706, 55
1 0 -5, 1.680, 53
0 1 7, 1.363, 28

Structure:
a b c (Å): 4.5920 7.5454 9.6664
angles (deg): 70.45 88.41 89.00
Space group P1 (No. 1)
Symmetry-distinct sites (fractional):
Fe: 0.0000 0.0000 0.0000 x1
Fe: 0.0032 0.5797 0.2039 x1
Fe: 0.4566 0.8893 0.3063 x1
Fe: 0.4835 0.4977 0.4989 x1
Fe: 0.4924 0.2791 0.1086 x1
Fe: 0.5021 0.0966 0.7098 x1
Fe: 0.5167 0.6968 0.9195 x1
Fe: 0.9551 0.1855 0.3960 x1
Fe: 0.9599 0.7842 0.5980 x1
Fe: 0.9681 0.3903 0.7967 x1
O: 0.1623 0.9488 0.4263 x1
O: 0.1769 0.5535 0.6221 x1
O: 0.1810 0.7579 0.0249 x1
O: 0.1877 0.3380 0.2282 x1
O: 0.1892 0.1587 0.8246 x1
O: 0.2887 0.0500 0.1267 x1
O: 0.2908 0.6518 0.3258 x1
O: 0.6597 0.7288 0.4751 x1
O: 0.6636 0.1190 0.2780 x1
O: 0.6706 0.3325 0.6759 x1
O: 0.6830 0.5164 0.0897 x1
O: 0.6968 0.9417 0.8808 x1
O: 0.7861 0.0270 0.5804 x1
O: 0.7871 0.4251 0.3834 x1
O: 0.7930 0.6325 0.7819 x1
O: 0.7942 0.2329 0.9803 x1
F: 0.2895 0.2493 0.5281 x1
F: 0.2962 0.4524 0.9285 x1
F: 0.3000 0.8561 0.7292 x1
F: 0.7835 0.8301 0.1798 x1



Record 3
Diffraction record for Fe5O8F2. The powder diffractogram is theoretical, not measured: it uses a structure optimized by DFT (GGA+U) and Cu Kα (weighted mean of Kα1 and Kα2).

Main lines, in order of falling intensity (10 to 90 degrees two-theta):
hkl, d_spacing, intensity
1 1 1, 3.294, 100
3 1 -2, 1.712, 43
2 0 -3, 2.523, 39
2 2 2, 1.647, 16
1 1 6, 1.706, 14
0 0 5, 2.515, 13

Structure:
a b c (Å): 5.5387 4.6701 12.8474
angles (deg): 90.00 101.79 90.00
Space group P2_1 (No. 4)
Symmetry-distinct sites (fractional):
Fe: 0.0353 0.0000 0.1964 x2
Fe: 0.1597 0.4736 0.5960 x2
Fe: 0.2465 0.9993 0.9931 x2
Fe: 0.3592 0.4505 0.4010 x2
Fe: 0.4360 0.9639 0.7933 x2
O: 0.0029 0.6861 0.9432 x2
O: 0.0922 0.2804 0.4601 x2
O: 0.1955 0.1764 0.8548 x2
O: 0.2048 0.6624 0.7317 x2
O: 0.2938 0.2874 0.2616 x2
O: 0.3940 0.1621 0.6588 x2
O: 0.4089 0.6534 0.5332 x2
O: 0.4993 0.2884 0.0644 x2
F: 0.1138 0.7782 0.3407 x2
F: 0.3067 0.7893 0.1400 x2



Record 4
Diffraction record for Fe2O3F. The powder diffractogram is theoretical, not measured: it uses a structure optimized by DFT (GGA+U) and Cu Kα (weighted mean of Kα1 and Kα2).

Main lines, in order of falling intensity (10 to 90 degrees two-theta):
hkl, d_spacing, intensity
1 1 2, 3.428, 100
1 2 -1, 2.532, 100
-1 1 2, 3.196, 94
2 3 1, 1.751, 44
-2 3 1, 1.686, 40
3 -2 1, 1.383, 19

Structure:
a b c (Å): 4.6824 7.6405 9.8507
angles (deg): 69.84 86.18 87.55
Space group P1 (No. 1)
Symmetry-distinct sites (fractional):
Fe: 0.0000 0.0000 0.0000 x1
Fe: 0.0022 0.7963 0.6051 x1
Fe: 0.0051 0.5967 0.2057 x1
Fe: 0.0297 0.2099 0.4123 x1
Fe: 0.4686 0.2935 0.0891 x1
Fe: 0.4763 0.0919 0.6931 x1
Fe: 0.5034 0.5011 0.5030 x1
Fe: 0.5078 0.9039 0.3044 x1
Fe: 0.5355 0.7042 0.9167 x1
Fe: 0.9968 0.4006 0.7997 x1
O: 0.1779 0.2359 0.9714 x1
O: 0.1894 0.0273 0.5802 x1
O: 0.1962 0.4483 0.3759 x1
O: 0.2991 0.3362 0.6778 x1
O: 0.3078 0.1395 0.2779 x1
O: 0.3112 0.9365 0.8817 x1
O: 0.3117 0.5369 0.0822 x1
O: 0.3121 0.7421 0.4810 x1
O: 0.6910 0.0609 0.1221 x1
O: 0.6933 0.2609 0.5261 x1
O: 0.6950 0.4593 0.9261 x1
O: 0.7005 0.8590 0.7276 x1
O: 0.7032 0.6663 0.3269 x1
O: 0.8194 0.5650 0.6299 x1
O: 0.8258 0.7618 0.0341 x1
F: 0.2045 0.8424 0.1830 x1
F: 0.2046 0.6368 0.7851 x1
F: 0.7954 0.1584 0.8208 x1
F: 0.8074 0.9670 0.4226 x1
F: 0.8106 0.3566 0.2286 x1



Record 5
Diffraction record for Fe5O2F8. The powder diffractogram is theoretical, not measured: it uses a structure optimized by DFT (GGA+U) and Cu Kα (weighted mean of Kα1 and Kα2).

Main lines, in order of falling intensity (10 to 90 degrees two-theta):
hkl, d_spacing, intensity
1 1 2, 3.456, 100
-1 1 2, 3.350, 97
0 1 -3, 2.619, 52
1 -2 1, 2.612, 52
2 -1 3, 1.786, 33
1 0 -5, 1.759, 27

Structure:
a b c (Å): 4.8147 7.8570 10.1283
angles (deg): 70.40 88.32 88.83
Space group P-1 (No. 2)
Symmetry-distinct sites (fractional):
Fe: 0.0000 0.0000 0.0000 x1
Fe: 0.0100 0.2025 0.3947 x2
Fe: 0.0132 0.6059 0.1993 x2
Fe: 0.4685 0.3137 0.1118 x2
Fe: 0.4702 0.1006 0.7088 x2
Fe: 0.5000 0.5000 0.5000 x1
O: 0.1653 0.1616 0.8346 x2
O: 0.1885 0.3813 0.2182 x2
F: 0.1935 0.5485 0.6242 x2
F: 0.2023 0.9564 0.4226 x2
F: 0.2223 0.7567 0.0125 x2
F: 0.2933 0.4566 0.9193 x2
F: 0.2942 0.2598 0.5225 x2
F: 0.2997 0.0677 0.1194 x2
F: 0.3056 0.8539 0.7244 x2
F: 0.3077 0.6684 0.3150 x2



Record 6
Diffraction record for Fe3O5F. The powder diffractogram is theoretical, not measured: it uses a structure optimized by DFT (GGA+U) and Cu Kα (weighted mean of Kα1 and Kα2).

Main lines, in order of falling intensity (10 to 90 degrees two-theta):
hkl, d_spacing, intensity
0 1 3, 3.260, 100
1 1 6, 1.696, 54
1 0 3, 2.506, 54
1 0 9, 1.366, 17
0 2 6, 1.630, 14
1 1 3, 2.201, 14

Structure:
a b c (Å): 2.9850 4.6064 13.8401
angles (deg): 90.00 90.00 90.00
Space group Pmn2_1 (No. 31)
Symmetry-distinct sites (fractional):
Fe: 0.0000 0.2039 0.0000 x2
Fe: 0.0000 0.2248 0.6830 x2
Fe: 0.0000 0.2783 0.3423 x2
O: 0.0000 0.5299 0.9030 x2
O: 0.0000 0.5664 0.2440 x2
O: 0.0000 0.9048 0.7784 x2
O: 0.0000 0.9320 0.1117 x2
O: 0.0000 0.9917 0.4369 x2
F: 0.0000 0.5736 0.5705 x2



Record 7
Diffraction record for Fe4OF7. The powder diffractogram is theoretical, not measured: it uses a structure optimized by DFT (GGA+U) and Cu Kα (weighted mean of Kα1 and Kα2).

Main lines, in order of falling intensity (10 to 90 degrees two-theta):
hkl, d_spacing, intensity
1 1 3, 2.678, 100
0 2 0, 3.389, 93
2 0 -2, 3.449, 93
5 1 -1, 1.803, 62
1 3 3, 1.786, 59
5 3 -1, 1.441, 43

Structure:
a b c (Å): 9.4364 6.7787 9.4257
angles (deg): 90.00 94.00 90.00
Space group C2/c (No. 15)
Symmetry-distinct sites (fractional):
Fe: 0.0000 0.2334 0.2500 x4
Fe: 0.1184 0.2360 0.8687 x8
Fe: 0.2500 0.2500 0.5000 x4
O: 0.0000 0.0645 0.7500 x4
F: 0.0000 0.4536 0.7500 x4
F: 0.0260 0.2612 0.4762 x8
F: 0.2263 0.2462 0.2756 x8
F: 0.2486 0.0591 0.0021 x8



Record 8
Diffraction record for Fe4O7F. The powder diffractogram is theoretical, not measured: it uses a structure optimized by DFT (GGA+U) and Cu Kα (weighted mean of Kα1 and Kα2).

Main lines, in order of falling intensity (10 to 90 degrees two-theta):
hkl, d_spacing, intensity
2 2 0, 2.522, 100
2 0 -1, 3.334, 97
2 0 1, 3.213, 92
4 2 -1, 1.722, 58
4 2 1, 1.688, 54
0 2 3, 1.372, 39

Structure:
a b c (Å): 9.2576 6.0155 4.6307
angles (deg): 90.00 92.12 90.00
Space group Cm (No. 8)
Symmetry-distinct sites (fractional):
Fe: 0.0000 0.0000 0.0000 x2
Fe: 0.0113 0.5000 0.9823 x2
Fe: 0.2624 0.2554 0.4778 x4
O: 0.1048 0.2491 0.1785 x4
O: 0.1670 0.5000 0.6731 x2
O: 0.3510 0.0000 0.3008 x2
O: 0.3567 0.5000 0.2885 x2
O: 0.4115 0.2469 0.7929 x4
F: 0.1557 0.0000 0.6839 x2